# 1
Computed powder X-ray diffraction pattern
Compound: BaMoBr4
Radiation: a wavelength of 1.5418 Å
Structure: a crystal structure in Alexandria, relaxed with GGA-PBE
Lines closer than 0.1° are merged.

Crystal structure
```
data_BaMoBr4
_symmetry_space_group_name_H-M 'P 1'
_symmetry_Int_Tables_number 1
_symmetry_space_group_name_Hall 'P 1'
_cell_length_a 6.524
_cell_length_b 6.524
_cell_length_c 6.524
_cell_angle_alpha 60.00
_cell_angle_beta 60.00
_cell_angle_gamma 60.00
loop_
_atom_site_label
_atom_site_type_symbol
_atom_site_fract_x
_atom_site_fract_y
_atom_site_fract_z
_atom_site_occupancy
Ba1 Ba 0.000 0.000 0.000 1
Mo1 Mo 0.250 0.250 0.250 1
Br1 Br 0.127 0.624 0.624 1
Br2 Br 0.624 0.127 0.624 1
Br3 Br 0.624 0.624 0.127 1
Br4 Br 0.624 0.624 0.624 1
```

Principal peaks in the range 5° ≤ 2θ ≤ 70°, low angle first:
2theta, d_spacing, I/Imax
27.34, 3.262, 38
32.18, 2.782, 100
33.65, 2.663, 30
39.05, 2.307, 1
48.33, 1.883, 15
51.47, 1.776, 34
56.42, 1.631, 28
63.80, 1.459, 7
66.45, 1.407, 12
67.32, 1.391, 12

---

# 2
Computed powder X-ray diffraction pattern
Compound: Ba4BrN2
Radiation: a wavelength of 1.5418 Å
Structure: a crystal structure in Alexandria, relaxed with GGA-PBE
Lines closer than 0.1° are merged.

Crystal structure
```
data_Ba4BrN2
_symmetry_space_group_name_H-M 'P 1'
_symmetry_Int_Tables_number 1
_symmetry_space_group_name_Hall 'P 1'
_cell_length_a 15.838
_cell_length_b 15.838
_cell_length_c 15.838
_cell_angle_alpha 14.96
_cell_angle_beta 14.96
_cell_angle_gamma 14.96
loop_
_atom_site_label
_atom_site_type_symbol
_atom_site_fract_x
_atom_site_fract_y
_atom_site_fract_z
_atom_site_occupancy
Ba1 Ba 0.117 0.117 0.117 1
Ba2 Ba 0.280 0.280 0.280 1
Ba3 Ba 0.720 0.720 0.720 1
Ba4 Ba 0.883 0.883 0.883 1
Br1 Br 0.000 0.000 0.000 1
N1 N 0.419 0.419 0.419 1
N2 N 0.581 0.581 0.581 1
```

Principal peaks in the range 5° ≤ 2θ ≤ 70°, low angle first:
2theta, d_spacing, I/Imax
11.30, 7.829, 24
25.00, 3.562, 25
26.70, 3.339, 55
28.30, 3.153, 100
29.26, 3.052, 44
31.46, 2.844, 27
34.36, 2.610, 23
35.33, 2.540, 35
43.90, 2.062, 52
56.90, 1.618, 32